[1]
The following is a theoretical powder diffraction line list of Rb2LiCoC6N6. It was derived from a GGA-PBE-relaxed structure, using λ = 1.5418 Å (Cu Kα).
Peak positions follow from Bragg's law for the DFT cell and can differ from measured ones.

Most intense lines, 15° ≤ 2θ ≤ 90°, by angle:
| d_spacing | 2theta | Rel. int. | h k l |
| --- | --- | --- | --- |
| 3.746 | 23.75 | 23.2 | 0 2 0 |
| 3.662 | 24.31 | 100.0 | 1 1 1 |
| 3.606 | 24.69 | 26.4 | 2 0 -2 |
| 3.102 | 28.78 | 17.2 | 2 1 -1 |
| 3.032 | 29.46 | 21.4 | 0 2 2 |
| 2.956 | 30.23 | 25.5 | 2 0 0 |
| 2.598 | 34.53 | 35.7 | 2 2 -2 |
| 2.581 | 34.76 | 24.4 | 0 0 4 |
| 2.300 | 39.16 | 18.9 | 1 3 -2 |
| 2.095 | 43.18 | 16.7 | 3 1 -1 |

Cell and atoms:
```
32
Lattice="7.2118 0.0000 0.0000 0.0000 7.4918 0.0000 -7.1811 0.0000 10.3246" Properties=species:S:1:pos:R:3 pbc="T T T"
Rb -0.0863 0.4062 2.5871
Rb -3.6768 3.3397 7.7494
Rb 3.7076 4.1521 2.5752
Rb 0.1170 7.0856 7.7375
Li -3.5905 0.0000 5.1623
Li 0.0000 3.7459 0.0000
Co 3.6059 0.0000 0.0000
Co 0.0154 3.7459 5.1623
C -5.0963 1.0746 10.0851
C -1.5058 2.6713 4.9228
C -1.0175 5.2895 4.8852
C -4.6080 5.9482 10.0474
C -3.2290 0.0762 8.4838
C 0.3616 3.6697 3.3215
C -0.3308 3.8221 7.0030
C 3.2597 7.4156 1.8408
C 4.6388 1.5436 0.2771
C 1.0482 2.2023 5.4394
C 1.5365 4.8205 5.4018
C 5.1271 6.4172 0.2395
N -6.0391 1.7602 9.9328
N -2.4486 1.9857 4.7705
N -5.2581 4.9843 9.8735
N -1.6676 6.2534 4.7113
N -3.0306 0.1369 7.3272
N 0.5599 3.6090 2.1650
N -0.5292 3.8828 8.1596
N 3.0613 7.3549 2.9973
N 1.6983 1.2384 5.6133
N 5.2888 2.5075 0.4510
N 2.4793 5.5061 5.5541
N 6.0699 5.7316 0.3918
```

***

[2]
The following is a theoretical powder diffraction line list of LuCoC. It was derived from a GGA-PBE-relaxed structure, using λ = 1.5418 Å (Cu Kα).
Peak positions follow from Bragg's law for the DFT cell and can differ from measured ones.

Most intense lines, 15° ≤ 2θ ≤ 90°, by angle:
| d_spacing | 2theta | Rel. int. | h k l |
| --- | --- | --- | --- |
| 3.611 | 24.66 | 19.4 | 0 0 1 |
| 3.458 | 25.77 | 22.3 | 1 0 0 |
| 2.497 | 35.96 | 100.0 | 1 0 1 |
| 2.445 | 36.76 | 56.2 | 1 1 0 |
| 2.024 | 44.77 | 15.9 | 1 1 1 |
| 1.805 | 50.56 | 11.1 | 0 0 2 |
| 1.732 | 52.87 | 9.7 | 0 2 0 |
| 1.452 | 64.12 | 21.2 | 1 1 2 |
| 1.423 | 65.62 | 17.3 | 1 2 1 |
| 1.420 | 65.76 | 17.2 | 2 1 1 |

Cell and atoms:
```
3
Lattice="3.4514 0.0000 0.0000 0.0000 3.4636 0.0000 0.0000 0.0000 3.6106" Properties=species:S:1:pos:R:3 pbc="T T T"
Lu 0.0000 0.0000 0.0000
Co 1.7257 1.7318 1.8053
C 1.7257 1.7318 0.0000
```

***

[3]
The following is a theoretical powder diffraction line list of LuCoC. It was derived from a GGA-PBE-relaxed structure, using λ = 1.5418 Å (Cu Kα).
Peak positions follow from Bragg's law for the DFT cell and can differ from measured ones.

Most intense lines, 15° ≤ 2θ ≤ 90°, by angle:
| d_spacing | 2theta | Rel. int. | h k l |
| --- | --- | --- | --- |
| 3.597 | 24.75 | 30.6 | 1 0 0 |
| 3.297 | 27.05 | 9.8 | 0 0 2 |
| 2.543 | 35.29 | 51.9 | 1 1 0 |
| 2.430 | 36.99 | 100.0 | 1 0 2 |
| 2.014 | 45.02 | 15.4 | 1 1 2 |
| 1.798 | 50.77 | 21.6 | 2 0 0 |
| 1.446 | 64.45 | 38.6 | 2 1 2 |
| 1.383 | 67.74 | 15.5 | 1 1 4 |
| 1.215 | 78.75 | 11.5 | 2 0 4 |
| 1.127 | 86.35 | 8.7 | 3 0 2 |

Cell and atoms:
```
6
Lattice="3.5968 0.0000 0.0000 0.0000 3.5968 0.0000 0.0000 0.0000 6.5936" Properties=species:S:1:pos:R:3 pbc="T T T"
Lu 0.0000 0.0000 1.6484
Lu 0.0000 0.0000 4.9452
Co 1.7984 1.7984 0.0000
Co 1.7984 1.7984 3.2968
C 0.0000 1.7984 0.0000
C 1.7984 0.0000 3.2968
```

***

[4]
The following is a theoretical powder diffraction line list of LuCoC6N6. It was derived from a GGA-PBE-relaxed structure, using λ = 1.5418 Å (Cu Kα).
Peak positions follow from Bragg's law for the DFT cell and can differ from measured ones.

Most intense lines, 15° ≤ 2θ ≤ 90°, by angle:
| d_spacing | 2theta | Rel. int. | h k l |
| --- | --- | --- | --- |
| 5.721 | 15.49 | 100.0 | 1 0 1 |
| 4.526 | 19.61 | 49.8 | 1 0 2 |
| 3.691 | 24.11 | 22.5 | 1 1 0 |
| 3.553 | 25.06 | 14.2 | 1 0 3 |
| 3.199 | 27.89 | 12.8 | 0 0 4 |
| 2.861 | 31.27 | 12.5 | 2 0 2 |
| 2.560 | 35.06 | 19.7 | 2 0 3 |
| 2.420 | 37.15 | 22.7 | 1 1 4 |
| 2.376 | 37.87 | 23.3 | 2 1 1 |
| 1.775 | 51.49 | 14.8 | 3 0 4 |

Cell and atoms:
```
28
Lattice="7.3814 0.0000 0.0000 -3.6907 6.3924 0.0000 0.0000 0.0000 12.8208" Properties=species:S:1:pos:R:3 pbc="T T T"
Lu 0.0000 4.2616 3.2052
Lu 3.6907 2.1308 9.6156
Co 0.0000 0.0000 0.0000
Co 0.0000 0.0000 6.4104
C 0.0000 1.5189 1.0775
C 0.0000 1.5189 5.3329
C -2.3753 5.6330 1.0775
C -2.3753 5.6330 5.3329
C 1.3154 0.7595 7.4878
C 1.3154 0.7595 11.7433
C 2.3753 5.6330 1.0775
C 2.3753 5.6330 5.3329
C 6.0659 0.7595 7.4878
C 6.0659 0.7595 11.7433
C 3.6907 4.8735 7.4878
C 3.6907 4.8735 11.7433
N 0.0000 2.4660 1.7648
N 0.0000 2.4660 4.6456
N -1.5551 5.1595 1.7648
N -1.5551 5.1595 4.6456
N 2.1356 1.2330 8.1752
N 2.1356 1.2330 11.0560
N 1.5551 5.1595 1.7648
N 1.5551 5.1595 4.6456
N 5.2458 1.2330 8.1752
N 5.2458 1.2330 11.0560
N 3.6907 3.9265 8.1752
N 3.6907 3.9265 11.0560
```